Structure and calculated X-ray powder pattern of MgSn (a DFT-relaxed cell (GGA-PBE, the Materials Project); Cu Kα X-rays).
Neutral-atom scattering factors, no anomalous dispersion.

Largest 10 diffraction maxima, in order of rising 2θ, 2θ = 10–80°:
| Position (°2θ) | I/Imax |
| --- | --- |
| 12.99 | 56 |
| 13.87 | 33 |
| 26.13 | 45 |
| 27.99 | 71 |
| 31.82 | 41 |
| 32.81 | 75 |
| 34.09 | 49 |
| 34.47 | 100 |
| 37.33 | 90 |
| 39.68 | 29 |

Cell and atoms:
```
MgSn
1.0
6.6366 -1.6436 0.0000
6.6366 1.6436 0.0000
-1.9247 0.0000 6.8145
Mg Sn
3 3
direct
0.0000 0.0000 0.0000
0.0500 0.0500 0.6013
0.3355 0.3355 0.6579
0.3976 0.3976 0.2734
0.6658 0.6658 0.3358
0.7162 0.7162 0.9199
```